# MnGeF4
Theoretical XRD peak list, Cu Ka. Input: a GGA+U-relaxed structure.
Intensities are scaled so that the largest is 100.

Crystal structure
```
MnGeF4
1.0
5.908 0.000 0.000
0.000 5.700 0.000
0.000 0.000 5.517
Mn Ge F
2 2 8
Direct
0.000 0.040 0.000 Mn
0.500 0.960 0.500 Mn
0.000 0.593 0.427 Ge
0.500 0.407 0.927 Ge
0.000 0.385 0.097 F
0.000 0.800 0.728 F
0.211 0.829 0.266 F
0.289 0.171 0.766 F
0.500 0.200 0.228 F
0.500 0.615 0.597 F
0.711 0.171 0.766 F
0.789 0.829 0.266 F
```

Most intense lines, 2θ from 10° to 80°, in order of falling intensity:
2θ (°)	intensity
27.09	100
22.43	41
30.25	32
48.44	21
37.98	19
51.84	18
44.96	18
21.66	14
60.30	13
54.69	13



# Rb2GeMoF6
Theoretical XRD peak list, Cu Ka. Input: a GGA+U-relaxed structure.
Intensities are scaled so that the largest is 100.

Crystal structure
```
Rb2GeMoF6
1.0
-3.243 3.243 4.435
3.243 -3.243 4.435
3.243 3.243 -4.435
Rb Ge Mo F
2 1 1 6
Direct
0.250 0.750 0.500 Rb
0.750 0.250 0.500 Rb
0.000 0.000 0.000 Ge
0.500 0.500 0.000 Mo
0.242 0.242 0.484 F
0.242 0.758 0.000 F
0.257 0.257 0.000 F
0.743 0.743 0.000 F
0.758 0.242 0.000 F
0.758 0.758 0.516 F
```

Most intense lines, 2θ from 10° to 80°, in order of falling intensity:
2θ (°)	intensity
27.99	100
27.50	52
39.29	45
48.93	42
57.84	26
40.68	20
49.81	20
56.78	14
72.17	13
78.17	11